Diffraction record for Dy4SiBiC. The powder diffractogram is simulated, not measured: it uses a crystal structure in Alexandria, relaxed with GGA-PBE and Cu Kα.
Lines closer than 0.1° are merged.

Top 10 peaks for 10 to 90 degrees two-theta, by angle:
index  d/Å  Rel. int.
0 2 0  7.754  14
1 1 0  6.181  15
2 2 0  3.094  85
0 6 0  2.585  32
2 4 0  2.545  100
2 0 2  2.386  67
2 6 2  1.753  40
2 10 0  1.409  18
2 4 4  1.407  16
4 4 2  1.405  16

Cell and atoms:
Cell lengths 6.739, 15.507, 6.757 Å; angles 90.00, 90.00, 90.00 degrees
Space group Cmcm (No. 63)
Inequivalent atoms, fractional coordinates:
Dy: 0.000 0.083 0.250 x4
Dy: 0.000 0.404 0.250 x4
Dy: 0.250 0.250 0.000 x8
Si: 0.000 0.116 0.750 x4
Bi: 0.000 0.396 0.750 x4
C: 0.000 0.245 0.250 x4